Record 1
Starting from a structure optimized by DFT (PBE), the X-ray powder pattern of CaP4Br12O4 was calculated for Cu Kα (λ = 1.5418 Å).
Intensities are scaled so that the largest is 100.

Main lines, by angle (2θ from 10° to 80°):
d_spacing, 2theta, I_rel
4.964, 17.9, 44.0
4.808, 18.5, 100.0
4.642, 19.1, 45.6
4.222, 21.0, 71.7
3.874, 23.0, 40.4
3.315, 26.9, 70.5
3.292, 27.1, 57.4
3.067, 29.1, 43.2
2.972, 30.1, 29.1
2.702, 33.2, 44.3

Cell and atoms:
a = 6.7288 Å, b = 10.9561 Å, c = 11.1150 Å
α = 91.35°, β = 100.32°, γ = 94.95°
Fractional coordinates of all 21 atoms:
Ca1 0.0000 0.0000 0.0000
P1 0.0190 0.7754 0.2581
P2 0.2233 0.2893 0.8619
P3 0.5276 0.2962 0.3641
P4 0.8022 0.8315 0.7117
Br1 0.2214 0.7923 0.0951
Br2 0.3304 0.1265 0.3781
Br3 0.3399 0.4445 0.3961
Br4 0.3668 0.0731 0.9099
Br5 0.3998 0.4768 0.9250
Br6 0.4970 0.7967 0.6067
Br7 0.7680 0.3009 0.5270
Br8 0.8119 0.9693 0.2091
Br9 0.8332 0.5887 0.2242
Br10 0.9355 0.6566 0.7193
Br11 0.9644 0.2658 0.9889
Br12 0.9662 0.9505 0.6014
O1 0.1245 0.2880 0.7314
O2 0.1527 0.7879 0.3803
O3 0.6017 0.3022 0.2471
O4 0.8114 0.8878 0.8369

***

Record 2
Starting from a structure optimized by DFT (PBE), the X-ray powder pattern of LaNi3Rh2 was calculated for Cu Kα (λ = 1.5418 Å).
Intensities are scaled so that the largest is 100.

Main lines, by angle (2θ from 10° to 80°):
d_spacing, 2theta, I_rel
4.205, 21.1, 13.2
3.039, 29.4, 13.9
2.539, 35.4, 36.9
2.199, 41.1, 15.5
2.173, 41.6, 100.0
2.102, 43.0, 26.0
1.619, 56.9, 18.7
1.384, 67.7, 22.7
1.269, 74.8, 14.3
1.227, 77.9, 15.1

Cell and atoms:
a = 5.0773 Å, b = 5.0773 Å, c = 4.2046 Å
α = 90.00°, β = 90.00°, γ = 120.00°
Fractional coordinates of all 6 atoms:
La1 0.0000 0.0000 0.0000
Ni1 0.0000 0.5000 0.5000
Ni2 0.5000 0.0000 0.5000
Ni3 0.5000 0.5000 0.5000
Rh1 0.3333 0.6667 0.0000
Rh2 0.6667 0.3333 0.0000

***

Record 3
Starting from a structure optimized by DFT (PBE), the X-ray powder pattern of RbCaBr3 was calculated for Cu Kα (λ = 1.5418 Å).
Intensities are scaled so that the largest is 100.

Main lines, by angle (2θ from 10° to 80°):
d_spacing, 2theta, I_rel
3.392, 26.3, 36.5
3.375, 26.4, 32.2
3.307, 27.0, 68.1
3.222, 27.7, 51.3
3.048, 29.3, 20.6
2.826, 31.7, 100.0
2.507, 35.8, 20.1
2.279, 39.5, 25.8
1.998, 45.4, 23.4
1.901, 47.8, 22.2

Cell and atoms:
a = 8.1641 Å, b = 11.2838 Å, c = 7.8497 Å
α = 90.00°, β = 90.00°, γ = 90.00°
Fractional coordinates of all 20 atoms:
Rb1 0.0648 0.2500 0.0200
Rb2 0.4352 0.7500 0.5200
Rb3 0.5648 0.2500 0.4800
Rb4 0.9352 0.7500 0.9800
Ca1 0.0000 0.0000 0.5000
Ca2 0.0000 0.5000 0.5000
Ca3 0.5000 0.0000 0.0000
Ca4 0.5000 0.5000 0.0000
Br1 0.0231 0.7500 0.4110
Br2 0.2045 0.5449 0.7990
Br3 0.2045 0.9551 0.7990
Br4 0.2955 0.0449 0.2990
Br5 0.2955 0.4551 0.2990
Br6 0.4769 0.2500 0.9110
Br7 0.5231 0.7500 0.0890
Br8 0.7045 0.5449 0.7010
Br9 0.7045 0.9551 0.7010
Br10 0.7955 0.0449 0.2010
Br11 0.7955 0.4551 0.2010
Br12 0.9769 0.2500 0.5890

***

Record 4
Starting from a structure optimized by DFT (PBE), the X-ray powder pattern of Dy5CoBi2 was calculated for Cu Kα (λ = 1.5418 Å).
Intensities are scaled so that the largest is 100.

Main lines, by angle (2θ from 10° to 80°):
d_spacing, 2theta, I_rel
2.884, 31.0, 100.0
2.823, 31.7, 67.0
2.674, 33.5, 29.6
2.602, 34.5, 14.5
2.535, 35.4, 9.5
2.445, 36.8, 10.1
2.214, 40.7, 24.1
2.085, 43.4, 10.6
1.756, 52.1, 12.2
1.460, 63.7, 9.9

Cell and atoms:
a = 12.3698 Å, b = 8.8570 Å, c = 7.9861 Å
α = 90.00°, β = 90.00°, γ = 90.00°
Fractional coordinates of all 32 atoms:
Dy1 0.0025 0.2500 0.0473
Dy2 0.0640 0.5348 0.3249
Dy3 0.0640 0.9652 0.3249
Dy4 0.1894 0.2500 0.6227
Dy5 0.1995 0.7500 0.6547
Dy6 0.3005 0.2500 0.1547
Dy7 0.3106 0.7500 0.1227
Dy8 0.4360 0.0348 0.8249
Dy9 0.4360 0.4652 0.8249
Dy10 0.4975 0.7500 0.5473
Dy11 0.5025 0.2500 0.4527
Dy12 0.5640 0.5348 0.1751
Dy13 0.5640 0.9652 0.1751
Dy14 0.6894 0.2500 0.8773
Dy15 0.6995 0.7500 0.8453
Dy16 0.8005 0.2500 0.3453
Dy17 0.8106 0.7500 0.3773
Dy18 0.9360 0.0348 0.6751
Dy19 0.9360 0.4652 0.6751
Dy20 0.9975 0.7500 0.9527
Co1 0.0083 0.2500 0.4385
Co2 0.4917 0.7500 0.9385
Co3 0.5083 0.2500 0.0615
Co4 0.9917 0.7500 0.5615
Bi1 0.1739 0.0075 0.9315
Bi2 0.1739 0.4925 0.9315
Bi3 0.3261 0.5075 0.4315
Bi4 0.3261 0.9925 0.4315
Bi5 0.6739 0.0075 0.5685
Bi6 0.6739 0.4925 0.5685
Bi7 0.8261 0.5075 0.0685
Bi8 0.8261 0.9925 0.0685

***

Record 5
Starting from a structure optimized by DFT (PBE), the X-ray powder pattern of TmS was calculated for Cu Kα (λ = 1.5418 Å).
Intensities are scaled so that the largest is 100.

Main lines, by angle (2θ from 10° to 80°):
d_spacing, 2theta, I_rel
3.136, 28.5, 86.0
2.716, 33.0, 100.0
1.920, 47.3, 71.9
1.638, 56.2, 41.5
1.568, 58.9, 24.8
1.358, 69.2, 11.5
1.246, 76.4, 16.9
1.215, 78.8, 32.2

Cell and atoms:
a = 3.8408 Å, b = 3.8408 Å, c = 3.8408 Å
α = 60.00°, β = 60.00°, γ = 60.00°
Fractional coordinates of all 2 atoms:
Tm1 0.0000 0.0000 0.0000
S1 0.5000 0.5000 0.5000

***

Record 6
Starting from a structure optimized by DFT (PBE), the X-ray powder pattern of TeO2 was calculated for Cu Kα (λ = 1.5418 Å).
Intensities are scaled so that the largest is 100.

Main lines, by angle (2θ from 10° to 80°):
d_spacing, 2theta, I_rel
6.846, 12.9, 68.8
3.423, 26.0, 67.6
3.232, 27.6, 40.9
3.038, 29.4, 100.0
2.688, 33.3, 82.5
2.409, 37.3, 27.1
2.339, 38.5, 76.7
2.106, 42.9, 39.2
1.794, 50.9, 75.7
1.686, 54.4, 27.0

Cell and atoms:
a = 7.0453 Å, b = 7.0453 Å, c = 3.3900 Å
α = 90.00°, β = 90.00°, γ = 152.69°
Fractional coordinates of all 6 atoms:
Te1 0.1465 0.8535 0.7500
Te2 0.8535 0.1465 0.2500
O1 0.2499 0.7501 0.2500
O2 0.4020 0.5980 0.7500
O3 0.5980 0.4020 0.2500
O4 0.7501 0.2499 0.7500